1.
Starting from a DFT-relaxed cell (GGA-PBE, Alexandria), the powder diffraction line list of SmSc2 was computed for Cu Kα X-rays.

The 10 most intense peaks (10° ≤ 2θ ≤ 80°), low angle first:
2theta	I (rel.)
12.3	39
24.8	12
27.1	32
32.4	100
37.6	50
39.7	10
54.2	33
64.5	12
64.6	26
67.8	11

Cell: 7.577 7.577 7.577 Å, 154.21 154.21 36.79°
Fractional coordinates of all 3 atoms:
Sm 0.000 0.000 0.000
Sc 0.328 0.328 0.000
Sc 0.672 0.672 0.000

---

2.
Starting from a DFT-relaxed cell (GGA-PBE, Alexandria), the powder diffraction line list of Ac5Ru2I2 was computed for Cu Kα X-rays.

The 10 most intense peaks (10° ≤ 2θ ≤ 80°), low angle first:
2theta	I (rel.)
23.4	28
24.0	28
27.8	26
28.9	100
29.8	23
30.8	60
33.8	100
34.3	55
52.3	33
57.4	39

Cell: 9.967 9.967 8.486 Å, 90.00 90.00 50.40°
Fractional coordinates of all 18 atoms:
Ac 0.000 0.000 0.000
Ac 0.051 0.738 0.656
Ac 0.238 0.551 0.156
Ac 0.262 0.949 0.656
Ac 0.449 0.762 0.156
Ac 0.500 0.500 0.500
Ac 0.551 0.238 0.844
Ac 0.738 0.051 0.344
Ac 0.762 0.449 0.844
Ac 0.949 0.262 0.344
Ru 0.144 0.856 0.357
Ru 0.356 0.644 0.857
Ru 0.644 0.356 0.143
Ru 0.856 0.144 0.643
I 0.215 0.215 0.000
I 0.285 0.285 0.500
I 0.715 0.715 0.500
I 0.785 0.785 0.000

---

3.
Starting from a DFT-relaxed cell (GGA-PBE, Alexandria), the powder diffraction line list of PrSm8C4 was computed for Cu Kα X-rays.

The 10 most intense peaks (10° ≤ 2θ ≤ 80°), low angle first:
2theta	I (rel.)
28.3	48
28.9	73
30.6	40
31.1	100
32.2	97
33.0	39
49.8	39
54.0	20
58.4	21
59.4	32

Cell: 9.465 9.465 12.765 Å, 131.03 131.03 22.40°
Fractional coordinates of all 13 atoms:
Pr 0.000 0.000 0.000
Sm 0.041 0.041 0.733
Sm 0.293 0.293 0.935
Sm 0.335 0.335 0.652
Sm 0.361 0.361 0.403
Sm 0.638 0.638 0.597
Sm 0.664 0.664 0.348
Sm 0.706 0.706 0.065
Sm 0.958 0.958 0.267
C 0.150 0.150 0.470
C 0.332 0.332 0.172
C 0.667 0.667 0.828
C 0.849 0.849 0.530

---

4.
Starting from a DFT-relaxed cell (GGA-PBE, Alexandria), the powder diffraction line list of PmAl11Ru was computed for Cu Kα X-rays.

The 10 most intense peaks (10° ≤ 2θ ≤ 80°), low angle first:
2theta	I (rel.)
14.0	100
19.7	98
26.7	68
28.1	54
33.5	69
38.5	60
39.0	96
39.4	72
40.0	64
40.3	52

Cell: 6.835 6.835 7.201 Å, 97.37 97.37 135.13°
Fractional coordinates of all 13 atoms:
Pm 0.000 0.000 0.000
Al 0.000 0.000 0.500
Al 0.000 0.500 0.000
Al 0.015 0.363 0.361
Al 0.280 0.499 0.772
Al 0.363 0.015 0.361
Al 0.499 0.280 0.772
Al 0.500 0.000 0.000
Al 0.501 0.720 0.228
Al 0.637 0.985 0.639
Al 0.720 0.501 0.228
Al 0.985 0.637 0.639
Ru 0.500 0.500 0.500

---

5.
Starting from a DFT-relaxed cell (GGA-PBE, Alexandria), the powder diffraction line list of Ac2Pr2SmY was computed for Cu Kα X-rays.

The 10 most intense peaks (10° ≤ 2θ ≤ 80°), low angle first:
2theta	I (rel.)
29.7	100
30.0	37
30.1	73
42.8	25
42.9	12
53.1	13
53.3	26
53.3	15
58.8	34
75.5	11

Cell: 5.961 10.260 7.402 Å, 90.00 90.00 90.00°
Fractional coordinates of all 12 atoms:
Ac 0.000 0.000 0.000
Ac 0.000 0.000 0.500
Ac 0.500 0.173 0.250
Ac 0.500 0.827 0.750
Pr 0.000 0.347 0.249
Pr 0.000 0.653 0.749
Pr 0.500 0.177 0.749
Pr 0.500 0.823 0.249
Sm 0.000 0.336 0.749
Sm 0.000 0.664 0.249
Y 0.500 0.500 0.499
Y 0.500 0.500 0.999

---

6.
Starting from a DFT-relaxed cell (GGA-PBE, Alexandria), the powder diffraction line list of Mn21Os2N6 was computed for Cu Kα X-rays.

The 10 most intense peaks (10° ≤ 2θ ≤ 80°), low angle first:
2theta	I (rel.)
17.0	37
24.2	36
38.7	100
42.5	93
45.3	97
49.5	51
52.0	25
58.8	32
75.3	29
77.8	44

Cell: 7.362 7.362 7.362 Å, 60.00 60.00 60.00°
Fractional coordinates of all 29 atoms:
Mn 0.000 0.000 0.000
Mn 0.000 0.000 0.332
Mn 0.000 0.000 0.668
Mn 0.000 0.332 0.000
Mn 0.000 0.332 0.668
Mn 0.000 0.668 0.000
Mn 0.000 0.668 0.332
Mn 0.151 0.616 0.616
Mn 0.332 0.000 0.000
Mn 0.332 0.000 0.668
Mn 0.332 0.668 0.000
Mn 0.384 0.384 0.384
Mn 0.384 0.384 0.849
Mn 0.384 0.849 0.384
Mn 0.616 0.151 0.616
Mn 0.616 0.616 0.151
Mn 0.616 0.616 0.616
Mn 0.668 0.000 0.000
Mn 0.668 0.000 0.332
Mn 0.668 0.332 0.000
Mn 0.849 0.384 0.384
Os 0.250 0.250 0.250
Os 0.750 0.750 0.750
N 0.277 0.277 0.723
N 0.277 0.723 0.277
N 0.277 0.723 0.723
N 0.723 0.277 0.277
N 0.723 0.277 0.723
N 0.723 0.723 0.277